The following is a computed powder XRD pattern of Te6MoW3Se2. It was derived from a cell relaxed with PBE, using Cu Kα (λ = 1.5418 Å).
Lines closer than 0.1° are merged.

Atomic structure:
```
data_Te6MoW3Se2
_space_group_name_H-M_alt 'P 3 m 1'
_space_group_IT_number 156
_cell_length_a 3.4968
_cell_length_b 3.4968
_cell_length_c 29.4877
_cell_angle_alpha 90.00
_cell_angle_beta 90.00
_cell_angle_gamma 120.00
loop_
_space_group_symop_operation_xyz
'x,y,z'
'-y,x-y,z'
'-x+y,-x,z'
'-y,-x,z'
'-x+y,y,z'
'x,x-y,z'
loop_
_atom_site_label
_atom_site_type_symbol
_atom_site_fract_x
_atom_site_fract_y
_atom_site_fract_z
Te1 Te 0.0000 0.0000 0.0000
Te2 Te 0.0000 0.0000 0.1249
Te3 Te 0.0000 0.0000 0.4876
Te4 Te 0.0000 0.0000 0.6125
Te5 Te 0.3333 0.6667 0.7448
Te6 Te 0.3333 0.6667 0.8697
Mo1 Mo 0.0000 0.0000 0.3071
W1 W 0.0000 0.0000 0.8073
W2 W 0.3333 0.6667 0.0625
W3 W 0.3333 0.6667 0.5501
Se1 Se 0.3333 0.6667 0.2522
Se2 Se 0.3333 0.6667 0.3619
```

Largest 10 diffraction maxima, by angle, 2θ from 10° to 80°:
2θ 12.01, d 7.372, rel. 83, (0 0 4)
2θ 29.50, d 3.028, rel. 41, (1 0 0)
2θ 31.95, d 2.801, rel. 13, (1 0 4)
2θ 34.80, d 2.578, rel. 100, (1 0 6)
2θ 42.80, d 2.113, rel. 60, (1 0 10)
2θ 52.33, d 1.748, rel. 34, (1 1 0)
2θ 53.89, d 1.701, rel. 11, (1 1 4)
2θ 64.38, d 1.447, rel. 17, (2 0 6)
2θ 69.83, d 1.347, rel. 14, (2 0 10)
2θ 74.86, d 1.268, rel. 17, (1 1 16)